Structure and simulated X-ray powder pattern of K2CoNiO4 (a GGA+U-relaxed structure; Cu Kα, 1.54184 Å).

Principal peaks in the range 10 to 90 degrees two-theta, in order of rising 2θ:
- 17.73°, d = 5.002 Å, I 100
- 18.10°, d = 4.902 Å, I 77
- 30.75°, d = 2.908 Å, I 33
- 31.40°, d = 2.849 Å, I 89
- 32.25°, d = 2.776 Å, I 35
- 37.22°, d = 2.415 Å, I 23
- 39.16°, d = 2.300 Å, I 40
- 45.64°, d = 1.988 Å, I 35
- 56.04°, d = 1.641 Å, I 30
- 60.38°, d = 1.533 Å, I 21

Cell and atoms:
Unit cell a=11.3996 b=10.1191 c=6.3324 alpha=84.38 beta=62.06 gamma=33.56
Element x y z (fractional)
K: 0.0510 0.0510 0.6990
K: 0.3010 0.3010 0.9490
K: 0.6990 0.6990 0.0510
K: 0.9490 0.9490 0.3010
Co: 0.3750 0.3750 0.3750
Co: 0.6250 0.6250 0.6250
Ni: 0.1250 0.1250 0.1250
Ni: 0.8750 0.8750 0.8750
O: 0.0035 0.6522 0.5662
O: 0.2781 0.5662 0.6522
O: 0.3478 0.9965 0.7219
O: 0.4338 0.7219 0.9965
O: 0.5662 0.2781 0.0035
O: 0.6522 0.0035 0.2781
O: 0.7219 0.4338 0.3478
O: 0.9965 0.3478 0.4338